Structure and simulated PXRD pattern of Hf4Nb2Os (a cell relaxed with PBE; Cu Kα, 1.54184 Å).

Atomic structure:
```
data_Hf4Nb2Os
_cell_length_a 5.075
_cell_length_b 5.075
_cell_length_c 13.208
_cell_angle_alpha 90.00
_cell_angle_beta 90.00
_cell_angle_gamma 90.00
_space_group_name_H-M_alt 'I 4/m m m'
_space_group_IT_number 139
_space_group_name_Hall '-I 4 2'
loop_
_atom_site_label
_atom_site_fract_x
_atom_site_fract_y
_atom_site_fract_z
_atom_site_occupancy
Hf1 0.000 0.000 0.192 1
Hf2 0.000 0.500 0.000 1
Nb1 0.000 0.000 0.396 1
Os1 0.000 0.000 0.000 1
```

Peak list (12 most intense, 10° ≤ 2θ ≤ 80°, by intensity)
2θ/deg, I (rel.), (hkl)
35.38, 100, 2 0 0
38.42, 70, 1 0 5
53.21, 55, 2 1 5
13.41, 47, 0 0 2
28.31, 43, 1 1 2
50.89, 36, 2 2 0
24.81, 31, 1 1 0
18.73, 20, 1 0 1
76.73, 19, 3 2 5
55.24, 18, 2 0 6
37.99, 15, 2 0 2
45.06, 15, 2 0 4

Structure and simulated PXRD pattern of AcPm4ErTm2 (a cell relaxed with PBE; Cu Kα, 1.54184 Å).

Atomic structure:
```
data_AcPm4ErTm2
_cell_length_a 6.278
_cell_length_b 6.281
_cell_length_c 7.276
_cell_angle_alpha 89.99
_cell_angle_beta 89.91
_cell_angle_gamma 70.87
_space_group_name_H-M_alt 'P -1'
_space_group_IT_number 2
_space_group_name_Hall '-P 1'
loop_
_atom_site_label
_atom_site_fract_x
_atom_site_fract_y
_atom_site_fract_z
_atom_site_occupancy
Ac1 0.000 0.000 0.000 1
Pm1 0.000 0.500 0.255 1
Pm2 0.500 0.000 0.256 1
Er1 0.500 0.500 0.500 1
Tm1 0.000 0.000 0.500 1
Tm2 0.500 0.500 0.000 1
```

Peak list (12 most intense, 10° ≤ 2θ ≤ 80°, by intensity)
2θ/deg, I (rel.), (hkl)
30.14, 100, 2 0 0
34.86, 34, 1 -1 2
59.60, 26, 3 -1 2
50.29, 24, 3 1 2
35.08, 17, 2 2 0
59.90, 14, 4 2 0
62.65, 13, 4 0 0
50.13, 12, 2 -2 0
59.68, 4, 2 0 -4
73.56, 2, 2 -2 4
73.68, 2, -2 2 4
74.13, 2, 4 4 0

Structure and simulated PXRD pattern of LiGa7Ag4 (a cell relaxed with PBE; Cu Kα, 1.54184 Å).

Atomic structure:
```
data_LiGa7Ag4
_cell_length_a 10.357
_cell_length_b 5.159
_cell_length_c 9.580
_cell_angle_alpha 90.00
_cell_angle_beta 117.11
_cell_angle_gamma 90.00
_space_group_name_H-M_alt 'C 1 2/m 1'
_space_group_IT_number 12
_space_group_name_Hall '-C 2y'
loop_
_atom_site_label
_atom_site_fract_x
_atom_site_fract_y
_atom_site_fract_z
_atom_site_occupancy
Li1 0.000 0.000 0.000 1
Ga1 0.000 0.500 0.000 1
Ga2 0.113 0.000 0.450 1
Ga3 0.169 0.500 0.624 1
Ga4 0.212 0.500 0.922 1
Ag1 0.072 0.500 0.304 1
Ag2 0.178 0.000 0.762 1
```

Peak list (12 most intense, 10° ≤ 2θ ≤ 80°, by intensity)
2θ/deg, I (rel.), (hkl)
41.16, 100, 1 1 3
42.84, 90, 3 1 -4
34.78, 86, 0 2 0
35.41, 75, 4 0 -1
50.48, 53, 4 2 -1
20.15, 25, 1 1 -1
66.70, 24, 1 3 3
67.91, 21, 3 3 -4
19.72, 21, 1 1 0
66.27, 20, 5 1 2
69.90, 17, 7 1 -5
10.37, 13, 0 0 1

Structure and simulated PXRD pattern of Cs2PaCl8 (a cell relaxed with PBE; Cu Kα, 1.54184 Å).

Atomic structure:
```
data_Cs2PaCl8
_cell_length_a 16.860
_cell_length_b 5.063
_cell_length_c 11.348
_cell_angle_alpha 90.00
_cell_angle_beta 96.55
_cell_angle_gamma 90.00
_space_group_name_H-M_alt 'C 1 2/m 1'
_space_group_IT_number 12
_space_group_name_Hall '-C 2y'
loop_
_atom_site_label
_atom_site_fract_x
_atom_site_fract_y
_atom_site_fract_z
_atom_site_occupancy
Cs1 0.245 0.000 0.247 1
Pa1 0.000 0.000 0.500 1
Cl1 0.033 0.000 0.287 1
Cl2 0.055 0.500 0.611 1
Cl3 0.156 0.000 0.537 1
Cl4 0.227 0.500 0.042 1
```

Peak list (12 most intense, 10° ≤ 2θ ≤ 80°, by intensity)
2θ/deg, I (rel.), (hkl)
20.18, 100, 1 1 1
12.43, 66, 2 0 -1
29.60, 62, 1 1 -3
21.22, 56, 4 0 0
13.87, 54, 2 0 1
33.78, 50, 5 1 1
17.94, 46, 2 0 -2
41.71, 38, 4 2 0
18.31, 36, 1 1 0
35.46, 29, 0 2 0
36.35, 29, 4 0 -4
38.26, 27, 5 1 -3

Structure and simulated PXRD pattern of Nd3Cd2Ru (a cell relaxed with PBE; Cu Kα, 1.54184 Å).

Atomic structure:
```
data_Nd3Cd2Ru
_cell_length_a 5.230
_cell_length_b 7.790
_cell_length_c 8.169
_cell_angle_alpha 90.00
_cell_angle_beta 108.52
_cell_angle_gamma 90.00
_space_group_name_H-M_alt 'P 1 2/m 1'
_space_group_IT_number 10
_space_group_name_Hall '-P 2y'
loop_
_atom_site_label
_atom_site_fract_x
_atom_site_fract_y
_atom_site_fract_z
_atom_site_occupancy
Nd1 0.000 0.231 0.000 1
Nd2 0.325 0.222 0.650 1
Cd1 0.165 0.500 0.329 1
Cd2 0.500 0.000 0.000 1
Cd3 0.500 0.500 0.000 1
Ru1 0.160 0.000 0.321 1
```

Peak list (12 most intense, 10° ≤ 2θ ≤ 80°, by intensity)
2θ/deg, I (rel.), (hkl)
33.53, 100, 1 2 1
34.29, 25, 2 0 -1
34.75, 23, 0 0 3
60.92, 17, 3 2 0
61.51, 15, 1 2 4
49.54, 10, 2 0 2
49.69, 8, 2 0 -4
46.64, 8, 0 4 0
59.15, 8, 2 4 -1
59.45, 8, 0 4 3
70.39, 5, 2 4 2
78.07, 5, 1 6 1

Structure and simulated PXRD pattern of Dy5Tm4Mg (a cell relaxed with PBE; Cu Kα, 1.54184 Å).

Atomic structure:
```
data_Dy5Tm4Mg
_cell_length_a 3.521
_cell_length_b 3.521
_cell_length_c 24.249
_cell_angle_alpha 90.00
_cell_angle_beta 90.00
_cell_angle_gamma 90.00
_space_group_name_H-M_alt 'P 4/m m m'
_space_group_IT_number 123
_space_group_name_Hall '-P 4 2'
loop_
_atom_site_label
_atom_site_fract_x
_atom_site_fract_y
_atom_site_fract_z
_atom_site_occupancy
Dy1 0.000 0.000 0.000 1
Dy2 0.000 0.000 0.204 1
Dy3 0.000 0.000 0.408 1
Tm1 0.500 0.500 0.102 1
Tm2 0.500 0.500 0.307 1
Mg1 0.500 0.500 0.500 1
```

Peak list (12 most intense, 10° ≤ 2θ ≤ 80°, by intensity)
2θ/deg, I (rel.), (hkl)
31.40, 100, 1 0 5
36.07, 36, 1 1 0
61.96, 29, 2 1 5
52.69, 22, 1 1 10
37.07, 15, 0 0 10
51.94, 13, 2 0 0
65.52, 11, 2 0 10
63.30, 11, 1 0 15
29.33, 4, 1 0 4
76.52, 4, 2 2 0
59.47, 3, 1 0 14
49.87, 3, 1 1 9